Entry 1:
Computed powder diffractogram
Compound: Pr4P3H
Radiation: a wavelength of 1.5418 Å
Structure: a structure optimized by DFT (GGA-PBE)
Lines closer than 0.1° are merged.

Principal peaks in the range 15° ≤ 2θ ≤ 90°, sorted by position:
26.4°, intensity 100, (1 2 0)
30.5°, intensity 69, (1 0 2)
30.7°, intensity 34, (0 4 0)
43.7°, intensity 25, (2 0 0)
43.9°, intensity 50, (1 4 2)
51.8°, intensity 32, (2 2 2)
52.1°, intensity 16, (1 6 0)
54.4°, intensity 26, (2 4 0)
70.3°, intensity 13, (2 6 2)
80.3°, intensity 17, (3 4 2)

Atomic structure:
Cell: 4.148 11.632 8.286 Å, 90.00 90.00 90.00°
Space group Amm2 (No. 38)
Inequivalent atoms, fractional coordinates:
Pr1 0.000 0.000 0.000 x2
Pr2 0.000 0.000 0.483 x2
Pr3 0.500 0.249 0.241 x4
P1 0.000 0.250 0.491 x4
P2 0.500 0.000 0.241 x2
H1 0.500 0.000 0.740 x2

***

Entry 2:
Computed powder diffractogram
Compound: Nd3ScSn2
Radiation: a wavelength of 1.5418 Å
Structure: a structure optimized by DFT (GGA-PBE)
Lines closer than 0.1° are merged.

Principal peaks in the range 15° ≤ 2θ ≤ 90°, sorted by position:
28.5°, intensity 46, (1 4 1)
29.3°, intensity 62, (2 2 0)
29.5°, intensity 68, (0 2 2)
31.3°, intensity 60, (0 6 0)
34.6°, intensity 72, (2 4 0)
34.8°, intensity 77, (0 4 2)
37.1°, intensity 47, (1 6 1)
39.3°, intensity 100, (2 0 2)
51.1°, intensity 56, (2 6 2)
57.4°, intensity 32, (1 10 1)

Atomic structure:
Cell: 6.517 17.128 6.467 Å, 90.00 90.00 90.00°
Space group Ibam (No. 72)
Inequivalent atoms, fractional coordinates:
Nd1 0.000 0.000 0.250 x4
Nd2 0.242 0.175 0.000 x8
Sc1 0.000 0.500 0.250 x4
Sn1 0.233 0.367 0.000 x8

***

Entry 3:
Computed powder diffractogram
Compound: HoGa6Rh4
Radiation: a wavelength of 1.5418 Å
Structure: a structure optimized by DFT (GGA-PBE)
Lines closer than 0.1° are merged.

Principal peaks in the range 15° ≤ 2θ ≤ 90°, sorted by position:
19.1°, intensity 48, (0 0 2)
31.9°, intensity 37, (1 0 3)
32.1°, intensity 100, (2 1 1)
33.5°, intensity 42, (2 0 2)
39.0°, intensity 60, (2 2 0)
42.5°, intensity 98, (2 1 3)
42.6°, intensity 94, (3 0 1)
43.6°, intensity 72, (1 1 4)
43.8°, intensity 49, (2 2 2)
66.2°, intensity 41, (4 1 3)

Atomic structure:
Cell: 6.537 6.537 9.301 Å, 90.00 90.00 90.00°
Space group I-42m (No. 121)
Inequivalent atoms, fractional coordinates:
Ho1 0.000 0.000 0.000 x2
Ga1 0.000 0.500 0.000 x4
Ga2 0.173 0.173 0.703 x8
Rh1 0.184 0.184 0.422 x8

***

Entry 4:
Computed powder diffractogram
Compound: Na3Pa3Se8
Radiation: a wavelength of 1.5418 Å
Structure: a structure optimized by DFT (GGA-PBE)
Lines closer than 0.1° are merged.

Principal peaks in the range 15° ≤ 2θ ≤ 90°, sorted by position:
24.3°, intensity 16, (1 1 3)
24.4°, intensity 41, (0 2 1)
29.4°, intensity 100, (0 2 4)
38.3°, intensity 31, (0 2 7)
41.8°, intensity 40, (2 0 8)
42.3°, intensity 43, (2 2 0)
44.3°, intensity 28, (2 2 3)
52.4°, intensity 19, (4 0 4)
53.4°, intensity 14, (2 0 11)
69.5°, intensity 15, (2 4 4)

Atomic structure:
Cell: 8.5438 8.5438 21.2875 Å, 90.00 90.00 120.00°
Space group R-3m (No. 166, hexagonal axes)
Inequivalent atoms, fractional coordinates:
Na1 0.0000 0.0000 0.0000 x3
Na2 0.0000 0.0000 0.3798 x6
Pa1 0.0000 0.5000 0.5000 x9
Se1 0.0000 0.0000 0.2391 x6
Se2 0.0278 0.5139 0.7622 x18